(1)
Computed powder diffractogram
Compound: LiV3O5F
Radiation: CuKα
Structure: a crystal structure in Alexandria, relaxed with GGA+U
Peak positions follow from Bragg's law for the DFT cell and can differ from measured ones.

Most intense lines, 2θ from 10° to 80°, in order of falling intensity:
19.9°, d 4.451, I = 100, (0 1 0); 21.2°, d 4.190, I = 98, (1 -1 0); 20.3°, d 4.365, I = 67, (0 1 -1); 28.0°, d 3.190, I = 46, (1 1 -1); 46.3°, d 1.961, I = 41, (-1 1 2); 45.2°, d 2.007, I = 39, (1 2 -2); 48.8°, d 1.865, I = 32, (2 -2 1); 29.1°, d 3.073, I = 29, (-1 1 1); 35.3°, d 2.539, I = 25, (1 0 -2); 48.2°, d 1.890, I = 24, (2 -1 1)

Cell and atoms:
```
LiV3O5F
1.0
5.236 0.000 0.000
-1.414 5.108 0.000
-2.016 -2.457 4.363
Li V O F
1 3 5 1
direct
0.000 0.000 0.000
0.094 0.654 0.343
0.311 0.633 0.896
0.639 0.321 0.652
0.047 0.349 0.936
0.266 0.404 0.512
0.377 0.933 0.258
0.724 0.644 0.049
0.927 0.633 0.624
0.477 0.995 0.787
```

(2)
Computed powder diffractogram
Compound: LiV2OF5
Radiation: CuKα
Structure: a crystal structure in Alexandria, relaxed with GGA+U
Peak positions follow from Bragg's law for the DFT cell and can differ from measured ones.

Most intense lines, 2θ from 10° to 80°, in order of falling intensity:
26.7°, d 3.340, I = 100, (1 1 -1); 21.1°, d 4.214, I = 28, (0 1 1); 39.3°, d 2.291, I = 27, (1 1 2); 19.0°, d 4.665, I = 24, (0 0 2); 55.0°, d 1.670, I = 24, (2 2 -2); 39.9°, d 2.262, I = 24, (1 1 -4); 52.8°, d 1.735, I = 19, (2 1 -5); 51.9°, d 1.761, I = 18, (2 1 1); 20.9°, d 4.245, I = 17, (1 0 0); 52.6°, d 1.741, I = 17, (1 2 -4)

Cell and atoms:
```
LiV2OF5
1.0
4.724 0.000 0.000
0.000 4.724 0.000
-4.556 0.000 9.330
Li V O F
2 4 2 10
direct
0.000 0.247 0.000
0.000 0.753 0.500
0.310 0.242 0.318
0.310 0.758 0.818
0.629 0.226 0.661
0.629 0.774 0.161
0.362 0.052 0.173
0.362 0.948 0.673
0.011 0.046 0.828
0.011 0.954 0.328
0.286 0.437 0.489
0.286 0.563 0.989
0.612 0.446 0.824
0.612 0.554 0.324
0.675 0.058 0.495
0.675 0.942 0.995
0.939 0.459 0.165
0.939 0.541 0.665
```

(3)
Computed powder diffractogram
Compound: Li2VO2F2
Radiation: CuKα
Structure: a crystal structure in Alexandria, relaxed with GGA+U
Peak positions follow from Bragg's law for the DFT cell and can differ from measured ones.

Most intense lines, 2θ from 10° to 80°, in order of falling intensity:
18.3°, d 4.855, I = 100, (0 1 1); 42.7°, d 2.116, I = 86, (2 2 0); 23.6°, d 3.765, I = 56, (1 1 1); 43.1°, d 2.101, I = 41, (0 0 4); 23.5°, d 3.793, I = 35, (1 1 -1); 14.9°, d 5.938, I = 34, (0 1 0); 26.0°, d 3.428, I = 34, (1 0 2); 62.6°, d 1.484, I = 34, (0 4 0); 18.0°, d 4.930, I = 29, (1 0 -1); 14.7°, d 6.031, I = 27, (1 0 0)

Cell and atoms:
```
Li2VO2F2
1.0
6.032 0.000 0.000
0.000 5.938 0.000
-0.109 0.000 8.402
Li V O F
8 4 8 8
direct
0.000 0.000 0.000
0.000 0.481 0.500
0.245 0.251 0.237
0.249 0.996 0.640
0.257 0.499 0.868
0.743 0.499 0.132
0.751 0.996 0.360
0.755 0.251 0.763
0.240 0.773 0.237
0.500 0.490 0.500
0.500 0.976 0.000
0.760 0.773 0.763
0.036 0.973 0.258
0.265 0.758 0.015
0.473 0.524 0.287
0.484 0.992 0.222
0.516 0.992 0.778
0.527 0.524 0.713
0.735 0.758 0.985
0.964 0.973 0.742
0.026 0.503 0.256
0.254 0.731 0.497
0.257 0.226 0.995
0.261 0.267 0.508
0.739 0.267 0.492
0.743 0.226 0.005
0.746 0.731 0.503
0.974 0.503 0.744
```

(4)
Computed powder diffractogram
Compound: Li7V4O11F
Radiation: CuKα
Structure: a crystal structure in Alexandria, relaxed with GGA+U
Peak positions follow from Bragg's law for the DFT cell and can differ from measured ones.

Most intense lines, 2θ from 10° to 80°, in order of falling intensity:
20.8°, d 4.267, I = 100, (0 1 -1); 21.1°, d 4.208, I = 89, (1 0 -1); 40.5°, d 2.227, I = 65, (1 1 2); 44.9°, d 2.020, I = 55, (1 -2 3); 45.7°, d 1.986, I = 51, (-2 1 3); 22.5°, d 3.950, I = 49, (0 1 1); 28.5°, d 3.127, I = 44, (-1 1 2); 28.2°, d 3.168, I = 41, (1 -1 2); 61.5°, d 1.509, I = 15, (3 0 -1); 63.3°, d 1.469, I = 14, (2 -1 5)

Cell and atoms:
```
Li7V4O11F
1.0
5.027 0.000 0.000
-2.178 4.588 0.000
-0.416 -0.902 9.313
Li V O F
7 4 11 1
direct
0.000 0.000 0.000
0.049 0.364 0.234
0.130 0.767 0.483
0.240 0.220 0.748
0.502 0.509 0.504
0.640 0.259 0.975
0.769 0.724 0.246
0.353 0.653 0.997
0.432 0.091 0.247
0.848 0.134 0.497
0.935 0.609 0.758
0.019 0.349 0.890
0.126 0.472 0.616
0.127 0.731 0.138
0.129 0.110 0.376
0.265 0.904 0.870
0.393 0.353 0.130
0.507 0.847 0.393
0.640 0.606 0.881
0.687 0.003 0.120
0.772 0.404 0.369
0.891 0.864 0.624
0.572 0.246 0.636
```